PrTh2Pt3: calculated powder diffractogram (λ = 1.5418 Å (Cu Kα)), based on DFT lattice parameters and positions (PBE).
Lines closer than 0.1° are merged.

Principal peaks in the range 2θ from 5° to 70°, sorted by position:
2theta  intensity
13.40  3
30.03  100
42.65  13
43.00  51
43.25  12
53.07  14
53.57  13
62.36  9
62.50  4

Structural model:
```
data_PrTh2Pt3
_chemical_formula_sum 'Pr16 Th32 Pt48'
_cell_length_a 8.3679
_cell_length_b 11.8884
_cell_length_c 25.4367
_cell_angle_alpha 90.00
_cell_angle_beta 90.00
_cell_angle_gamma 90.00
_symmetry_space_group_name_H-M 'F d d d'
_symmetry_Int_Tables_number 70
loop_
_symmetry_equiv_pos_as_xyz
'x,y,z'
'-x,-y,-z'
'-x+1/4,-y+1/4,z'
'x+1/4,y+1/4,-z'
'x,-y+1/4,-z+1/4'
'-x,y+1/4,z+1/4'
'-x+1/4,y,-z+1/4'
'x+1/4,-y,z+1/4'
'x,y+1/2,z+1/2'
'-x,-y+1/2,-z+1/2'
'-x+1/4,-y+3/4,z+1/2'
'x+1/4,y+3/4,-z+1/2'
'x,-y+3/4,-z+3/4'
'-x,y+3/4,z+3/4'
'-x+1/4,y+1/2,-z+3/4'
'x+1/4,-y+1/2,z+3/4'
'x+1/2,y,z+1/2'
'-x+1/2,-y,-z+1/2'
'-x+3/4,-y+1/4,z+1/2'
'x+3/4,y+1/4,-z+1/2'
'x+1/2,-y+1/4,-z+3/4'
'-x+1/2,y+1/4,z+3/4'
'-x+3/4,y,-z+3/4'
'x+3/4,-y,z+3/4'
'x+1/2,y+1/2,z'
'-x+1/2,-y+1/2,-z'
'-x+3/4,-y+3/4,z'
'x+3/4,y+3/4,-z'
'x+1/2,-y+3/4,-z+1/4'
'-x+1/2,y+3/4,z+1/4'
'-x+3/4,y+1/2,-z+1/4'
'x+3/4,-y+1/2,z+1/4'
loop_
_atom_site_label
_atom_site_fract_x
_atom_site_fract_y
_atom_site_fract_z
Pr1 0.1250 0.1250 0.0415
Th1 0.1250 0.1250 0.3748
Th2 0.1250 0.1250 0.5419
Pt1 0.1183 0.3750 0.8750
Pt2 0.1208 0.3708 0.7068
```